The following is a calculated PXRD pattern of NpMn2GaO8. It was derived from a structure optimized by DFT (GGA+U), using Cu Kα (weighted mean of Kα1 and Kα2).
Lines closer than 0.1° are merged.

Cell and atoms:
Cell lengths 5.7680, 5.7680, 5.7680 Å; angles 111.88, 111.88, 104.76 degrees
Positions (direct):
Np: 0.0000 0.0000 0.0000
Mn: 0.5000 0.5000 0.0000
Mn: 0.7500 0.2500 0.5000
Ga: 0.2500 0.7500 0.5000
O: 0.3085 0.1149 0.8064
O: 0.3085 0.5021 0.1936
O: 0.3351 0.0360 0.2991
O: 0.4979 0.6915 0.8064
O: 0.7368 0.0360 0.7009
O: 0.8851 0.6915 0.1936
O: 0.9640 0.2632 0.2991
O: 0.9640 0.6649 0.7009

The 10 most intense peaks (10 to 90 degrees two-theta), in order of falling intensity:
two_theta	intensity
32.09	1000
27.61	951
18.64	837
51.73	692
19.43	293
33.52	251
40.90	202
59.83	202
39.45	196
66.95	191